[1]
# Tl6SCl4
Theoretical powder diffractogram, copper Kα. Input: a DFT-relaxed cell (GGA-PBE, the Materials Project).
Peak positions follow from Bragg's law for the DFT cell and can differ from measured ones.

Structural model:
```
Tl6SCl4
1.0
8.7089 0.0000 0.0000
0.0000 8.7089 0.0000
0.0000 0.0000 9.3776
Tl S Cl
12 2 8
Cartesian
0.0000 0.0000 1.8391
0.0000 0.0000 7.5385
0.9596 2.7814 4.6888
1.5730 3.3948 0.0000
2.7814 7.7493 4.6888
3.3948 7.1359 0.0000
4.3545 4.3545 2.8497
4.3545 4.3545 6.5279
5.3141 1.5730 0.0000
5.9275 0.9596 4.6888
7.1359 5.3141 0.0000
7.7493 5.9275 4.6888
0.0000 0.0000 4.6888
4.3545 4.3545 0.0000
1.5289 5.8834 2.3444
1.5289 5.8834 7.0332
2.8256 1.5289 2.3444
2.8256 1.5289 7.0332
5.8834 7.1800 2.3444
5.8834 7.1800 7.0332
7.1800 2.8256 2.3444
7.1800 2.8256 7.0332
```

The 10 most intense peaks (2θ = 10–80°), by angle:
- 22.83 deg, rel. 43
- 23.85 deg, rel. 51
- 24.75 deg, rel. 39
- 29.82 deg, rel. 100
- 30.38 deg, rel. 29
- 32.51 deg, rel. 71
- 33.93 deg, rel. 24
- 47.58 deg, rel. 21
- 53.51 deg, rel. 24
- 74.32 deg, rel. 19

***

[2]
# KGa3
Theoretical powder diffractogram, copper Kα. Input: a DFT-relaxed cell (GGA-PBE, the Materials Project).
Peak positions follow from Bragg's law for the DFT cell and can differ from measured ones.

Structural model:
```
KGa3
1.0
-3.1794 3.1794 7.4835
3.1794 -3.1794 7.4835
3.1794 3.1794 -7.4835
K Ga
3 9
Cartesian
0.0000 0.0000 0.0000
3.1794 0.0000 1.8957
3.1794 0.0000 5.5877
3.1794 1.8705 -4.1633
3.1794 1.2375 -1.6108
0.0000 1.3089 3.3201
0.0000 0.0000 7.4835
1.2375 3.1794 1.6108
1.9420 0.0000 9.0943
0.0000 1.9420 5.8727
1.8705 3.1794 4.1633
1.3089 0.0000 11.6468
```

The 10 most intense peaks (2θ = 10–80°), by angle:
- 15.14 deg, rel. 100
- 28.06 deg, rel. 22
- 31.10 deg, rel. 65
- 32.04 deg, rel. 73
- 33.08 deg, rel. 22
- 37.11 deg, rel. 27
- 43.10 deg, rel. 22
- 43.92 deg, rel. 27
- 46.26 deg, rel. 35
- 46.78 deg, rel. 30

***

[3]
# NdP2H3O6
Theoretical powder diffractogram, copper Kα. Input: a DFT-relaxed cell (GGA-PBE, the Materials Project).
Peak positions follow from Bragg's law for the DFT cell and can differ from measured ones.

Structural model:
```
NdP2H3O6
1.0
8.2812 0.0000 0.0000
0.0000 9.9420 0.0000
-3.1822 0.0000 8.0229
Nd P H O
4 8 12 24
Cartesian
0.4935 0.3585 3.8580
-1.0977 4.6125 7.8694
6.1966 5.3295 0.1535
4.6055 9.5836 4.1650
-2.1189 1.1738 6.4951
-0.5278 3.7972 2.4836
1.4036 6.4961 4.9152
2.9947 8.4170 0.9037
2.1043 1.5251 7.1192
3.6954 3.4460 3.1078
5.6268 6.1448 5.5393
7.2179 8.7683 1.5279
-1.1112 6.6232 3.4934
-2.7023 8.2899 7.5048
-1.7514 0.3490 7.5780
-0.1603 4.6220 3.5665
1.6596 6.3130 3.5203
0.0685 8.6001 7.5318
5.0305 1.3420 0.4912
3.4394 3.6290 4.5026
5.2593 5.3200 4.4564
6.8504 9.5931 0.4450
7.8013 1.6521 0.5181
6.2101 3.3189 4.5296
-1.4555 0.6019 5.2075
0.1356 4.3691 1.1961
-0.0912 2.3805 2.8653
-1.6823 2.5905 6.8768
-1.1479 5.9277 5.8076
0.4432 8.9854 1.7961
3.1293 6.7893 0.9748
1.5382 8.1237 4.9862
1.1085 0.7383 6.2946
2.6996 4.2327 2.2831
0.7873 6.3165 7.8062
2.3785 8.5966 3.7947
2.7205 1.3455 4.2282
4.3116 3.6255 0.2168
2.3994 5.7094 5.7398
3.9905 9.2037 1.7283
3.5608 1.8183 3.0367
1.9697 3.1527 7.0482
4.6558 0.9566 6.2268
6.2469 4.0144 2.2154
6.7813 7.3515 1.1461
5.1902 7.5616 5.1576
4.9634 5.5729 6.8269
6.5545 9.3401 2.8154
```

The 10 most intense peaks (2θ = 10–80°), by angle:
- 14.19 deg, rel. 100
- 17.84 deg, rel. 24
- 21.02 deg, rel. 13
- 23.41 deg, rel. 29
- 25.49 deg, rel. 29
- 29.15 deg, rel. 14
- 29.35 deg, rel. 23
- 30.58 deg, rel. 17
- 34.75 deg, rel. 27
- 42.18 deg, rel. 12

***

[4]
# MgBi4O8
Theoretical powder diffractogram, copper Kα. Input: a DFT-relaxed cell (GGA-PBE, the Materials Project).
Peak positions follow from Bragg's law for the DFT cell and can differ from measured ones.

Structural model:
```
MgBi4O8
1.0
6.9325 0.0000 0.0000
-3.1223 6.1935 0.0000
-0.5305 -3.8537 6.0075
Mg Bi O
1 4 8
Cartesian
0.0000 0.0000 0.0000
-0.3008 4.3721 2.2206
1.5551 -0.9031 5.2558
0.0725 2.1834 5.1430
5.0390 -0.9600 5.0778
-1.5008 5.1744 0.6230
0.4354 2.0256 0.3144
0.0682 0.0599 4.0954
-1.5410 3.5788 3.8156
3.0895 -0.2909 3.7305
2.2123 4.8509 0.3071
3.6753 2.0208 0.2647
1.9836 3.1073 4.5359
```

The 10 most intense peaks (2θ = 10–80°), by angle:
- 14.75 deg, rel. 100
- 15.25 deg, rel. 62
- 15.35 deg, rel. 63
- 15.51 deg, rel. 44
- 29.15 deg, rel. 33
- 29.74 deg, rel. 44
- 30.78 deg, rel. 36
- 31.03 deg, rel. 67
- 34.41 deg, rel. 47
- 34.77 deg, rel. 43

***

[5]
# CeOF
Theoretical powder diffractogram, copper Kα. Input: a DFT-relaxed cell (GGA-PBE, the Materials Project).
Peak positions follow from Bragg's law for the DFT cell and can differ from measured ones.

Structural model:
```
CeOF
1.0
5.6682 0.0000 0.0000
0.0000 5.6682 0.0000
0.0000 0.0000 5.6682
Ce O F
4 4 4
Cartesian
0.0000 0.0000 0.0000
0.0000 2.8341 2.8341
2.8341 0.0000 2.8341
2.8341 2.8341 0.0000
1.4170 1.4170 1.4170
1.4170 4.2511 4.2511
4.2511 1.4170 4.2511
4.2511 4.2511 1.4170
1.4170 1.4170 4.2511
1.4170 4.2511 1.4170
4.2511 1.4170 1.4170
4.2511 4.2511 4.2511
```

The 8 most intense peaks (2θ = 10–80°), by angle:
- 27.25 deg, rel. 100
- 31.57 deg, rel. 27
- 45.25 deg, rel. 58
- 53.63 deg, rel. 46
- 56.22 deg, rel. 8
- 65.92 deg, rel. 9
- 72.72 deg, rel. 18
- 74.93 deg, rel. 11

***

[6]
# La4ZnCuRh2O12
Theoretical powder diffractogram, copper Kα. Input: a DFT-relaxed cell (GGA-PBE, the Materials Project).
Peak positions follow from Bragg's law for the DFT cell and can differ from measured ones.

Structural model:
```
La4ZnCuRh2O12
1.0
5.5963 0.0000 0.0000
-0.0051 5.6851 0.0000
-0.0053 -0.0349 7.9436
La Zn Cu Rh O
4 1 1 2 12
Cartesian
0.0489 0.2752 1.9995
2.7400 3.1218 1.9926
2.8458 2.5284 5.9510
5.5370 5.3750 5.9441
2.7981 0.0000 0.0000
-0.0052 2.8251 3.9718
-0.0026 2.8425 0.0000
2.7955 -0.0174 3.9718
0.4907 2.9489 5.9667
1.0928 4.4990 0.3690
1.1353 4.5251 3.6009
1.6390 1.7099 0.3683
1.6800 1.6510 3.6005
2.2974 0.1058 5.9395
3.2884 5.5444 2.0041
3.9058 3.9992 4.3431
3.9469 3.9403 7.5753
4.4505 1.1251 4.3427
4.4930 1.1511 7.5747
5.0952 2.7013 1.9769
```

The 10 most intense peaks (2θ = 10–80°), by angle:
- 24.99 deg, rel. 11
- 31.47 deg, rel. 29
- 31.77 deg, rel. 100
- 31.86 deg, rel. 33
- 31.99 deg, rel. 33
- 45.49 deg, rel. 30
- 45.68 deg, rel. 19
- 56.37 deg, rel. 15
- 56.86 deg, rel. 38
- 75.78 deg, rel. 10

***

[7]
# SrMg6CdO8
Theoretical powder diffractogram, copper Kα. Input: a DFT-relaxed cell (GGA-PBE, the Materials Project).
Peak positions follow from Bragg's law for the DFT cell and can differ from measured ones.

Structural model:
```
SrMg6CdO8
1.0
4.5500 0.0000 0.0000
0.0000 4.5500 0.0000
0.0000 0.0000 8.9121
Sr Mg Cd O
1 6 1 8
Cartesian
0.0000 0.0000 0.0000
0.0000 0.0000 4.4560
0.0000 2.2750 2.3862
0.0000 2.2750 6.5259
2.2750 0.0000 2.3862
2.2750 0.0000 6.5259
2.2750 2.2750 4.4560
2.2750 2.2750 0.0000
0.0000 0.0000 2.4407
0.0000 0.0000 6.4714
0.0000 2.2750 0.0000
0.0000 2.2750 4.4560
2.2750 0.0000 0.0000
2.2750 0.0000 4.4560
2.2750 2.2750 2.3960
2.2750 2.2750 6.5161
```

The 10 most intense peaks (2θ = 10–80°), by angle:
- 19.93 deg, rel. 30
- 27.73 deg, rel. 25
- 29.52 deg, rel. 45
- 34.38 deg, rel. 63
- 39.62 deg, rel. 100
- 40.49 deg, rel. 43
- 57.27 deg, rel. 30
- 57.93 deg, rel. 54
- 68.53 deg, rel. 21
- 72.47 deg, rel. 26

***

[8]
# CeAlGe
Theoretical powder diffractogram, copper Kα. Input: a DFT-relaxed cell (GGA-PBE, the Materials Project).
Peak positions follow from Bragg's law for the DFT cell and can differ from measured ones.

Structural model:
```
CeAlGe
1.0
4.2606 0.0000 0.0000
0.0000 4.2606 0.0000
0.0000 0.0000 14.8210
Ce Al Ge
4 4 4
Cartesian
0.0000 0.0000 0.0000
0.0000 2.1303 3.7053
2.1303 0.0000 11.1158
2.1303 2.1303 7.4105
0.0000 0.0000 8.6584
0.0000 2.1303 12.3636
2.1303 0.0000 4.9531
2.1303 2.1303 1.2479
0.0000 0.0000 6.1914
0.0000 2.1303 9.8967
2.1303 0.0000 2.4862
2.1303 2.1303 13.6019
```

The 10 most intense peaks (2θ = 10–80°), by angle:
- 24.02 deg, rel. 13
- 27.65 deg, rel. 41
- 32.07 deg, rel. 100
- 36.94 deg, rel. 47
- 42.43 deg, rel. 35
- 47.98 deg, rel. 22
- 51.40 deg, rel. 15
- 57.50 deg, rel. 25
- 65.96 deg, rel. 17
- 71.12 deg, rel. 20